Theoretical powder diffraction line list of CrNF4 for Cu Kα (weighted mean of Kα1 and Kα2), from a crystal structure in Alexandria, relaxed with PBE+U.

Largest 10 diffraction maxima, in order of falling intensity, 10° ≤ 2θ ≤ 90°:
- 6.522 Å, rel. 100, hkl 0 0 1
- 3.219 Å, rel. 47, hkl 2 0 1
- 3.701 Å, rel. 36, hkl 2 0 0
- 1.780 Å, rel. 13, hkl 4 0 1
- 1.604 Å, rel. 11, hkl 4 2 1
- 2.308 Å, rel. 10, hkl 3 0 1
- 1.875 Å, rel. 10, hkl 2 0 3
- 4.893 Å, rel. 10, hkl 1 0 1
- 1.609 Å, rel. 10, hkl 4 0 2
- 1.850 Å, rel. 9, hkl 4 0 0

Lattice parameters (Å, degrees): 7.4017 7.4017 6.5222 90.00 90.00 90.00
Space group P4/nmm (No. 129, origin choice 2)
One atom of each set of equivalent atoms:
Cr1 0.0000 0.0000 0.0000 [4 per cell]
N1 0.2500 0.2500 0.2890 [2 per cell]
N2 0.2500 0.7500 0.5000 [2 per cell]
F1 0.0113 0.7500 0.0937 [8 per cell]
F2 0.0792 0.0792 0.2710 [8 per cell]